For ThTe5, a cell relaxed with GGA-PBE gives the calculated X-ray powder pattern in this record (λ = 1.5418 Å (Cu Kα)).
No peak broadening, texture or thermal motion is included.

Structural model:
```
data_ThTe5
_chemical_formula_sum 'Th2 Te10'
_space_group_name_H-M_alt 'P 1'
_space_group_IT_number 1
_space_group_name_Hall 'P 1'
_cell_length_a 4.527
_cell_length_b 18.568
_cell_length_c 4.501
_cell_angle_alpha 90.00
_cell_angle_beta 90.00
_cell_angle_gamma 90.00
loop_
_atom_site_label
_atom_site_type_symbol
_atom_site_fract_x
_atom_site_fract_y
_atom_site_fract_z
Th1 Th 0.000 0.000 0.000
Th2 Th 0.500 0.500 0.000
Te1 Te 0.000 0.146 0.500
Te2 Te 0.000 0.353 0.000
Te3 Te 0.000 0.500 0.500
Te4 Te 0.000 0.647 0.000
Te5 Te 0.000 0.854 0.500
Te6 Te 0.500 0.000 0.500
Te7 Te 0.500 0.147 0.000
Te8 Te 0.500 0.354 0.500
Te9 Te 0.500 0.646 0.500
Te10 Te 0.500 0.853 0.000
```

Principal peaks in the range 10 to 80 degrees two-theta, by angle:
| two_theta | I (rel.) |
| --- | --- |
| 28.85 | 24 |
| 31.54 | 100 |
| 37.14 | 16 |
| 39.82 | 14 |
| 40.07 | 14 |
| 49.92 | 11 |
| 52.84 | 11 |
| 62.21 | 12 |
| 67.15 | 11 |
| 67.49 | 11 |